Record 1
For Sb2PSe, a DFT-relaxed cell (PBE, Alexandria) gives the simulated powder diffractogram in this record (CuKα).
No peak broadening, texture or thermal motion is included.

Atomic structure:
Cell lengths 8.8921, 3.9024, 13.0623 Å; angles 90.00, 101.69, 90.00 degrees
Atoms (fractional coordinates):
Sb (0.0413, 0.0000, 0.1583)
Sb (0.1911, 0.5252, 0.6263)
Sb (0.2635, 0.0186, 0.3659)
Sb (0.4355, 0.8445, 0.1195)
Sb (0.5645, 0.3445, 0.8805)
Sb (0.7365, 0.5186, 0.6341)
Sb (0.8089, 0.0252, 0.3737)
Sb (0.9587, 0.5000, 0.8417)
P (0.1012, 0.5199, 0.4209)
P (0.1634, 0.5029, 0.0706)
P (0.8366, 0.0029, 0.9294)
P (0.8988, 0.0199, 0.5791)
Se (0.3427, 0.9224, 0.9121)
Se (0.4028, 0.0269, 0.6353)
Se (0.5972, 0.5269, 0.3647)
Se (0.6573, 0.4224, 0.0879)

Main lines, most intense first (10° ≤ 2θ ≤ 90°):
2θ 32.1, intensity 100
2θ 27.9, intensity 98
2θ 30.8, intensity 39
2θ 35.6, intensity 35
2θ 20.2, intensity 35
2θ 23.8, intensity 34
2θ 39.0, intensity 28
2θ 49.5, intensity 24



Record 2
For Tm6SbP2Se3, a DFT-relaxed cell (PBE, Alexandria) gives the simulated powder diffractogram in this record (CuKα).
No peak broadening, texture or thermal motion is included.

Atomic structure:
Cell lengths 9.0854, 9.0854, 8.1619 Å; angles 102.99, 102.99, 25.65 degrees
Atoms (fractional coordinates):
Tm (0.0098, 0.0098, 0.2649)
Tm (0.3262, 0.3262, 0.4275)
Tm (0.3273, 0.3273, 0.8899)
Tm (0.6727, 0.6727, 0.1101)
Tm (0.6738, 0.6738, 0.5725)
Tm (0.9902, 0.9902, 0.7351)
Sb (0.5000, 0.5000, 0.0000)
P (0.1682, 0.1682, 0.3375)
P (0.8318, 0.8318, 0.6625)
Se (0.1631, 0.1631, 0.8339)
Se (0.5000, 0.5000, 0.5000)
Se (0.8369, 0.8369, 0.1661)

Main lines, most intense first (10° ≤ 2θ ≤ 90°):
2θ 31.2, intensity 100
2θ 44.6, intensity 47
2θ 73.8, intensity 18
2θ 27.0, intensity 16
2θ 26.8, intensity 15
2θ 44.9, intensity 13
2θ 55.7, intensity 13
2θ 44.4, intensity 11



Record 3
For Sm5SbP4, a DFT-relaxed cell (PBE, Alexandria) gives the simulated powder diffractogram in this record (CuKα).
No peak broadening, texture or thermal motion is included.

Atomic structure:
Cell lengths 7.2472, 7.2472, 10.2917 Å; angles 118.29, 118.29, 33.35 degrees
Atoms (fractional coordinates):
Sm (0.0000, 0.0000, 0.0000)
Sm (0.2057, 0.2057, 0.8131)
Sm (0.3917, 0.3917, 0.6100)
Sm (0.6083, 0.6083, 0.3900)
Sm (0.7943, 0.7943, 0.1869)
Sb (0.0000, 0.0000, 0.5000)
P (0.2020, 0.2020, 0.2953)
P (0.4021, 0.4021, 0.1005)
P (0.5979, 0.5979, 0.8995)
P (0.7980, 0.7980, 0.7047)

Main lines, most intense first (10° ≤ 2θ ≤ 90°):
2θ 30.2, intensity 100
2θ 26.2, intensity 36
2θ 43.2, intensity 36
2θ 43.3, intensity 24
2θ 53.9, intensity 13
2θ 43.5, intensity 12
2θ 26.0, intensity 12
2θ 71.4, intensity 10



Record 4
For Sm7SbP5, a DFT-relaxed cell (PBE, Alexandria) gives the simulated powder diffractogram in this record (CuKα).
No peak broadening, texture or thermal motion is included.

Atomic structure:
Cell lengths 7.0933, 7.0933, 24.3833 Å; angles 90.00, 90.00, 145.99 degrees
Atoms (fractional coordinates):
Sm (0.0314, 0.9686, 0.7500)
Sm (0.1362, 0.8638, 0.0344)
Sm (0.1362, 0.8638, 0.4656)
Sm (0.3248, 0.6752, 0.6716)
Sm (0.3248, 0.6752, 0.8284)
Sm (0.4091, 0.5909, 0.1039)
Sm (0.4091, 0.5909, 0.3961)
Sm (0.5909, 0.4091, 0.6039)
Sm (0.5909, 0.4091, 0.8961)
Sm (0.6752, 0.3248, 0.1716)
Sm (0.6752, 0.3248, 0.3284)
Sm (0.8638, 0.1362, 0.5344)
Sm (0.8638, 0.1362, 0.9656)
Sm (0.9686, 0.0314, 0.2500)
Sb (0.2972, 0.7028, 0.2500)
Sb (0.7028, 0.2972, 0.7500)
P (0.0431, 0.9569, 0.1428)
P (0.0431, 0.9569, 0.3572)
P (0.2280, 0.7720, 0.5724)
P (0.2280, 0.7720, 0.9276)
P (0.5000, 0.5000, 0.0000)
P (0.5000, 0.5000, 0.5000)
P (0.7720, 0.2280, 0.0724)
P (0.7720, 0.2280, 0.4276)
P (0.9569, 0.0431, 0.6428)
P (0.9569, 0.0431, 0.8572)

Main lines, most intense first (10° ≤ 2θ ≤ 90°):
2θ 28.8, intensity 100
2θ 30.1, intensity 93
2θ 31.3, intensity 69
2θ 43.6, intensity 54
2θ 26.8, intensity 50
2θ 29.0, intensity 39
2θ 53.1, intensity 36
2θ 44.0, intensity 29



Record 5
For SmThSbP, a DFT-relaxed cell (PBE, Alexandria) gives the simulated powder diffractogram in this record (CuKα).
No peak broadening, texture or thermal motion is included.

Atomic structure:
Cell lengths 7.7342, 7.7342, 7.7342 Å; angles 31.83, 31.83, 31.83 degrees
Atoms (fractional coordinates):
Sm (0.0000, 0.0000, 0.0000)
Th (0.8112, 0.8112, 0.8112)
Sb (0.2389, 0.2389, 0.2389)
P (0.4073, 0.4073, 0.4073)

Main lines, most intense first (10° ≤ 2θ ≤ 90°):
2θ 31.7, intensity 100
2θ 42.6, intensity 55
2θ 29.2, intensity 50
2θ 24.6, intensity 43
2θ 25.6, intensity 32
2θ 37.7, intensity 31
2θ 54.1, intensity 22
2θ 67.5, intensity 22



Record 6
For TaSb4P, a DFT-relaxed cell (PBE, Alexandria) gives the simulated powder diffractogram in this record (CuKα).
No peak broadening, texture or thermal motion is included.

Atomic structure:
Cell lengths 5.9911, 5.9911, 5.9911 Å; angles 60.00, 60.00, 60.00 degrees
Atoms (fractional coordinates):
Ta (0.0000, 0.0000, 0.0000)
Sb (0.3750, 0.3750, 0.3750)
Sb (0.3750, 0.3750, 0.8749)
Sb (0.3750, 0.8749, 0.3750)
Sb (0.8749, 0.3750, 0.3750)
P (0.7500, 0.7500, 0.7500)

Main lines, most intense first (10° ≤ 2θ ≤ 90°):
2θ 35.1, intensity 100
2θ 36.7, intensity 46
2θ 56.4, intensity 34
2θ 62.0, intensity 28
2θ 88.7, intensity 22
2θ 29.8, intensity 21
2θ 18.1, intensity 20
2θ 74.2, intensity 17



Record 7
For Tb3Sb2P, a DFT-relaxed cell (PBE, Alexandria) gives the simulated powder diffractogram in this record (CuKα).
No peak broadening, texture or thermal motion is included.

Atomic structure:
Cell lengths 7.4223, 7.4223, 7.3585 Å; angles 99.57, 99.57, 119.53 degrees
Atoms (fractional coordinates):
Tb (0.0000, 0.5000, 0.0000)
Tb (0.1488, 0.3014, 0.4971)
Tb (0.3014, 0.1488, 0.9971)
Tb (0.5000, 0.0000, 0.5000)
Tb (0.6986, 0.8512, 0.0029)
Tb (0.8512, 0.6986, 0.5029)
Sb (0.2563, 0.7437, 0.7500)
Sb (0.4177, 0.5823, 0.2500)
Sb (0.5823, 0.4177, 0.7500)
Sb (0.7437, 0.2563, 0.2500)
P (0.0852, 0.9148, 0.2500)
P (0.9148, 0.0852, 0.7500)

Main lines, most intense first (10° ≤ 2θ ≤ 90°):
2θ 29.5, intensity 100
2θ 42.5, intensity 25
2θ 42.0, intensity 24
2θ 52.4, intensity 13
2θ 42.3, intensity 12
2θ 42.1, intensity 12
2θ 69.8, intensity 11
2θ 25.5, intensity 9



Record 8
For Tb3Sb2P, a DFT-relaxed cell (PBE, Alexandria) gives the simulated powder diffractogram in this record (CuKα).
No peak broadening, texture or thermal motion is included.

Atomic structure:
Cell lengths 9.5609, 9.5609, 9.5609 Å; angles 154.07, 154.07, 37.00 degrees
Atoms (fractional coordinates):
Tb (0.0000, 0.0000, 0.0000)
Tb (0.3444, 0.3444, 0.0000)
Tb (0.6556, 0.6556, 0.0000)
Sb (0.1692, 0.1692, 0.0000)
Sb (0.8308, 0.8308, 0.0000)
P (0.5000, 0.5000, 0.0000)

Main lines, most intense first (10° ≤ 2θ ≤ 90°):
2θ 42.2, intensity 100
2θ 29.4, intensity 93
2θ 29.6, intensity 43
2θ 52.3, intensity 35
2θ 69.3, intensity 31
2θ 77.0, intensity 22
2θ 25.5, intensity 18
2θ 61.1, intensity 12



Record 9
For Tb5Sb4P, a DFT-relaxed cell (PBE, Alexandria) gives the simulated powder diffractogram in this record (CuKα).
No peak broadening, texture or thermal motion is included.

Atomic structure:
Cell lengths 7.4974, 7.4974, 7.4974 Å; angles 99.66, 99.66, 131.64 degrees
Atoms (fractional coordinates):
Tb (0.0000, 0.0000, 0.0000)
Tb (0.2170, 0.5970, 0.8141)
Tb (0.4030, 0.2170, 0.6200)
Tb (0.5970, 0.7830, 0.3800)
Tb (0.7830, 0.4030, 0.1859)
Sb (0.0943, 0.3027, 0.3970)
Sb (0.3027, 0.9057, 0.2084)
Sb (0.6973, 0.0943, 0.7916)
Sb (0.9057, 0.6973, 0.6030)
P (0.5000, 0.5000, 0.0000)

Main lines, most intense first (10° ≤ 2θ ≤ 90°):
2θ 41.7, intensity 100
2θ 29.2, intensity 89
2θ 29.1, intensity 45
2θ 51.7, intensity 34
2θ 68.6, intensity 27
2θ 76.2, intensity 20
2θ 68.4, intensity 16
2θ 25.2, intensity 13



Record 10
For SbTeP2, a DFT-relaxed cell (PBE, Alexandria) gives the simulated powder diffractogram in this record (CuKα).
No peak broadening, texture or thermal motion is included.

Atomic structure:
Cell lengths 4.5933, 4.0005, 5.5129 Å; angles 90.00, 111.69, 90.00 degrees
Atoms (fractional coordinates):
Sb (0.0000, 0.0000, 0.0000)
Te (0.2623, 0.5000, 0.7289)
P (0.5361, 0.0000, 0.3951)
P (0.7492, 0.5000, 0.2847)

Main lines, most intense first (10° ≤ 2θ ≤ 90°):
2θ 31.2, intensity 100
2θ 31.9, intensity 50
2θ 41.9, intensity 40
2θ 28.3, intensity 39
2θ 48.3, intensity 30
2θ 30.6, intensity 24
2θ 17.3, intensity 24
2θ 33.5, intensity 21



Record 11
For SbTeP, a DFT-relaxed cell (PBE, Alexandria) gives the simulated powder diffractogram in this record (CuKα).
No peak broadening, texture or thermal motion is included.

Atomic structure:
Cell lengths 6.8587, 6.8587, 6.1821 Å; angles 99.11, 99.11, 35.36 degrees
Atoms (fractional coordinates):
Sb (0.1509, 0.1509, 0.2374)
Sb (0.8491, 0.8491, 0.7626)
Te (0.1694, 0.1694, 0.7311)
Te (0.8306, 0.8306, 0.2689)
P (0.4918, 0.4918, 0.8267)
P (0.5082, 0.5082, 0.1733)

Main lines, most intense first (10° ≤ 2θ ≤ 90°):
2θ 29.9, intensity 100
2θ 29.3, intensity 48
2θ 39.7, intensity 40
2θ 44.8, intensity 28
2θ 22.4, intensity 27
2θ 13.7, intensity 21
2θ 43.4, intensity 18
2θ 53.3, intensity 17



Record 12
For ZrSbTe2P, a DFT-relaxed cell (PBE, Alexandria) gives the simulated powder diffractogram in this record (CuKα).
No peak broadening, texture or thermal motion is included.

Atomic structure:
Cell lengths 5.1932, 5.1932, 5.0109 Å; angles 90.00, 90.00, 90.00 degrees
Atoms (fractional coordinates):
Zr (0.0000, 0.0000, 0.0000)
Sb (0.5000, 0.5000, 0.0000)
Te (0.0000, 0.5000, 0.5000)
Te (0.5000, 0.0000, 0.5000)
P (0.5000, 0.5000, 0.5000)

Main lines, most intense first (10° ≤ 2θ ≤ 90°):
2θ 30.2, intensity 100
2θ 34.5, intensity 45
2θ 50.6, intensity 30
2θ 59.2, intensity 29
2θ 35.8, intensity 21
2θ 49.7, intensity 16
2θ 62.7, intensity 16
2θ 60.9, intensity 13



Which formula does entry 3 have? Sm5SbP4



What did the seventh record say?
For Tb3Sb2P, a DFT-relaxed cell (PBE, Alexandria) gives the simulated powder diffractogram in this record (CuKα).
No peak broadening, texture or thermal motion is included.

Atomic structure:
Cell lengths 7.4223, 7.4223, 7.3585 Å; angles 99.57, 99.57, 119.53 degrees
Atoms (fractional coordinates):
Tb (0.0000, 0.5000, 0.0000)
Tb (0.1488, 0.3014, 0.4971)
Tb (0.3014, 0.1488, 0.9971)
Tb (0.5000, 0.0000, 0.5000)
Tb (0.6986, 0.8512, 0.0029)
Tb (0.8512, 0.6986, 0.5029)
Sb (0.2563, 0.7437, 0.7500)
Sb (0.4177, 0.5823, 0.2500)
Sb (0.5823, 0.4177, 0.7500)
Sb (0.7437, 0.2563, 0.2500)
P (0.0852, 0.9148, 0.2500)
P (0.9148, 0.0852, 0.7500)

Main lines, most intense first (10° ≤ 2θ ≤ 90°):
2θ 29.5, intensity 100
2θ 42.5, intensity 25
2θ 42.0, intensity 24
2θ 52.4, intensity 13
2θ 42.3, intensity 12
2θ 42.1, intensity 12
2θ 69.8, intensity 11
2θ 25.5, intensity 9